This entry pairs a crystal structure of SrTiTl2F8 with its simulated powder diffraction line list. Radiation: Cu Kα X-rays. Structure: a cell relaxed with GGA-PBE.
Intensities are scaled so that the largest is 100.

Cell and atoms:
abc: 4.839 7.345 6.507
angles: 90.00 93.64 90.00
Space group P2/m (No. 10)
Symmetry-distinct sites (fractional):
Sr 0.000 0.000 0.000 x1
Ti 0.000 0.500 0.000 x1
Tl 0.500 0.262 0.500 x2
F 0.121 0.305 0.829 x4
F 0.329 0.500 0.161 x2
F 0.392 0.000 0.242 x2

Most intense lines, 2θ from 5° to 70°, low angle first:
2theta  I_rel
13.64  34
22.23  99
23.65  82
27.47  35
27.91  100
30.58  54
40.73  59
42.39  33

=====

This entry pairs a crystal structure of Ho7CuS5 with its simulated powder diffraction line list. Radiation: Cu Kα X-rays. Structure: a cell relaxed with GGA-PBE.
Intensities are scaled so that the largest is 100.

Cell and atoms:
abc: 3.862 23.305 6.654
angles: 90.00 106.77 90.00
Space group P2_1/m (No. 11)
Symmetry-distinct sites (fractional):
Ho 0.038 0.250 0.073 x2
Ho 0.136 0.537 0.275 x4
Ho 0.313 0.177 0.623 x4
Ho 0.410 0.610 0.822 x4
Cu 0.297 0.750 0.596 x2
S 0.048 0.642 0.098 x4
S 0.226 0.071 0.450 x4
S 0.500 0.000 0.000 x2

Most intense lines, 2θ from 5° to 70°, low angle first:
2theta  I_rel
28.27  29
28.60  53
30.29  100
32.26  83
33.41  61
46.98  45
47.07  31
57.00  34

=====

This entry pairs a crystal structure of Pr3Sm8Mg with its simulated powder diffraction line list. Radiation: Cu Kα X-rays. Structure: a cell relaxed with GGA-PBE.
Intensities are scaled so that the largest is 100.

Cell and atoms:
abc: 3.594 9.760 12.016
angles: 105.55 90.01 90.04
Space group P1 (No. 1)
Symmetry-distinct sites (fractional):
Pr 0.000 0.000 0.000 x1
Pr 0.000 0.397 0.782 x1
Pr 0.501 0.453 0.518 x1
Sm 0.000 0.210 0.269 x1
Sm 0.000 0.676 0.050 x1
Sm 0.000 0.796 0.553 x1
Sm 0.001 0.124 0.512 x1
Sm 0.001 0.572 0.286 x1
Sm 0.500 0.070 0.757 x1
Sm 0.500 0.345 0.042 x1
Sm 0.500 0.722 0.798 x1
Mg 0.501 0.893 0.284 x1

Most intense lines, 2θ from 5° to 70°, low angle first:
2theta  I_rel
29.45  33
30.90  52
31.01  45
31.55  100
32.08  56
32.63  19
46.29  21
61.04  30